(1)
Structure and computed PXRD pattern of Y4Ge8Ru (a cell relaxed with GGA-PBE; Cu Kα (weighted mean of Kα1 and Kα2)).
Neutral-atom scattering factors, no anomalous dispersion.

Peak list (8 most intense, 15° ≤ 2θ ≤ 90°, low angle first)
d 2.706, 2θ 33.1, I = 129; d 2.563, 2θ 35.0, I = 139; d 2.552, 2θ 35.2, I = 1000; d 2.244, 2θ 40.2, I = 157; d 2.086, 2θ 43.4, I = 221; d 2.009, 2θ 45.1, I = 202; d 1.447, 2θ 64.4, I = 136; d 1.277, 2θ 74.2, I = 173

Structure:
abc: 4.0177 4.1727 16.2355
angles: 90.00 90.00 90.00
Element x y z (fractional)
Y1 0.0000 0.0000 0.0000
Y2 0.0000 0.5000 0.4879
Y3 0.5000 0.0000 0.7910
Y4 0.5000 0.5000 0.2854
Ge1 0.0000 0.0000 0.3330
Ge2 0.0000 0.0000 0.6234
Ge3 0.0000 0.5000 0.1402
Ge4 0.0000 0.5000 0.8544
Ge5 0.5000 0.0000 0.1452
Ge6 0.5000 0.0000 0.4385
Ge7 0.5000 0.5000 0.6209
Ge8 0.5000 0.5000 0.9563
Ru1 0.0000 0.5000 0.7042


(2)
Structure and computed PXRD pattern of Y3Ge3Ru (a cell relaxed with GGA-PBE; Cu Kα (weighted mean of Kα1 and Kα2)).
Neutral-atom scattering factors, no anomalous dispersion.

Peak list (8 most intense, 15° ≤ 2θ ≤ 90°, low angle first)
d 2.748, 2θ 32.6, I = 399; d 2.736, 2θ 32.7, I = 1000; d 2.698, 2θ 33.2, I = 940; d 2.603, 2θ 34.5, I = 277; d 2.405, 2θ 37.4, I = 513; d 2.246, 2θ 40.2, I = 792; d 2.168, 2θ 41.7, I = 321; d 2.142, 2θ 42.2, I = 650

Structure:
abc: 5.8101 5.8101 13.8983
angles: 109.11 109.11 43.27
Element x y z (fractional)
Y1 0.0227 0.0227 0.3773
Y2 0.0996 0.0996 0.9202
Y3 0.2424 0.2424 0.2294
Y4 0.7576 0.7576 0.7706
Y5 0.9004 0.9004 0.0798
Y6 0.9773 0.9773 0.6227
Ge1 0.3632 0.3632 0.4547
Ge2 0.3771 0.3771 0.9257
Ge3 0.4555 0.4555 0.7609
Ge4 0.5445 0.5445 0.2391
Ge5 0.6229 0.6229 0.0743
Ge6 0.6368 0.6368 0.5453
Ru1 0.2545 0.2545 0.5872
Ru2 0.7455 0.7455 0.4128


(3)
Structure and computed PXRD pattern of GeS8 (a cell relaxed with GGA-PBE; Cu Kα (weighted mean of Kα1 and Kα2)).
Neutral-atom scattering factors, no anomalous dispersion.

Peak list (8 most intense, 15° ≤ 2θ ≤ 90°, low angle first)
d 4.682, 2θ 19.0, I = 325; d 3.585, 2θ 24.8, I = 1000; d 2.846, 2θ 31.4, I = 172; d 2.481, 2θ 36.2, I = 378; d 2.429, 2θ 37.0, I = 554; d 1.985, 2θ 45.7, I = 143; d 1.754, 2θ 52.1, I = 190; d 1.686, 2θ 54.4, I = 143

Structure:
abc: 8.3313 7.7679 5.8971
angles: 73.71 63.50 42.80
Element x y z (fractional)
Ge1 0.0000 0.0000 0.0000
S1 0.0696 0.2843 0.7157
S2 0.2843 0.0696 0.9304
S3 0.3400 0.6600 0.3400
S4 0.3901 0.3901 0.6099
S5 0.6099 0.6099 0.3901
S6 0.6600 0.3400 0.6600
S7 0.7157 0.9304 0.0696
S8 0.9304 0.7157 0.2843